Diffraction record for TbPr2Ga3Pt4. The powder diffractogram is computed, not measured: it uses a structure optimized by DFT (PBE) and Cu Kα, 1.54184 Å.

The 12 most intense peaks (10° ≤ 2θ ≤ 80°), sorted by position:
Position (°2θ), Rel. int.
25.98, 157
31.47, 270
33.42, 1000
37.95, 137
42.02, 512
43.59, 281
45.10, 208
53.43, 146
60.94, 184
63.34, 146
65.68, 109
71.31, 225

Structure:
abc: 4.3003 4.3003 11.3689
angles: 90.00 90.00 90.00
Space group P-4m2 (No. 115)
Symmetry-distinct sites (fractional):
Tb 0.0000 0.0000 0.0000 [1 per cell]
Pr 0.0000 0.5000 0.7270 [2 per cell]
Ga 0.0000 0.5000 0.3782 [2 per cell]
Ga 0.5000 0.5000 0.0000 [1 per cell]
Pt 0.0000 0.0000 0.5000 [1 per cell]
Pt 0.0000 0.5000 0.1573 [2 per cell]
Pt 0.5000 0.5000 0.5000 [1 per cell]

Diffraction record for Tb4Mg3In. The powder diffractogram is computed, not measured: it uses a structure optimized by DFT (PBE) and Cu Kα, 1.54184 Å.

The 12 most intense peaks (10° ≤ 2θ ≤ 80°), sorted by position:
Position (°2θ), Rel. int.
10.09, 32
20.29, 28
23.47, 339
33.44, 1000
41.29, 79
48.01, 181
54.11, 146
59.67, 93
59.80, 279
70.18, 57
70.32, 57
75.25, 56

Structure:
abc: 5.3548 5.3548 26.3042
angles: 90.00 90.00 120.00
Space group R-3m (No. 166, hexagonal axes)
Symmetry-distinct sites (fractional):
Tb 0.0000 0.0000 0.1247 [6 per cell]
Tb 0.0000 0.0000 0.3748 [6 per cell]
Mg 0.0000 0.0000 0.2476 [6 per cell]
Mg 0.0000 0.0000 0.5000 [3 per cell]
In 0.0000 0.0000 0.0000 [3 per cell]

Diffraction record for LiCaAg4Sn2. The powder diffractogram is computed, not measured: it uses a structure optimized by DFT (PBE) and Cu Kα, 1.54184 Å.

The 12 most intense peaks (10° ≤ 2θ ≤ 80°), sorted by position:
Position (°2θ), Rel. int.
21.92, 148
22.45, 193
25.83, 98
33.50, 124
36.51, 846
37.18, 1000
43.58, 154
53.10, 281
66.59, 281
67.03, 178
69.82, 96
79.22, 117

Structure:
abc: 4.8367 4.8367 24.3290
angles: 90.00 90.00 120.00
Space group R-3m (No. 166, hexagonal axes)
Symmetry-distinct sites (fractional):
Li 0.0000 0.0000 0.0000 [3 per cell]
Ca 0.0000 0.0000 0.5000 [3 per cell]
Ag 0.0000 0.0000 0.1101 [6 per cell]
Ag 0.0000 0.0000 0.3677 [6 per cell]
Sn 0.0000 0.0000 0.2485 [6 per cell]

Diffraction record for CrTeHRhAu2. The powder diffractogram is computed, not measured: it uses a structure optimized by DFT (PBE) and Cu Kα, 1.54184 Å.

The 12 most intense peaks (10° ≤ 2θ ≤ 80°), sorted by position:
Position (°2θ), Rel. int.
15.95, 314
26.16, 276
28.46, 912
29.95, 234
38.09, 1000
38.62, 687
39.96, 773
41.30, 602
42.66, 390
58.89, 299
68.20, 303
69.53, 264

Structure:
abc: 4.5480 4.5487 5.6118
angles: 83.04 83.09 61.67
Space group P1 (No. 1)
Symmetry-distinct sites (fractional):
Cr 0.0000 0.0000 0.0000 [1 per cell]
Te 0.0719 0.0731 0.5125 [1 per cell]
H 0.8073 0.8118 0.3228 [1 per cell]
Rh 0.7257 0.7267 0.6180 [1 per cell]
Au 0.3547 0.3551 0.8695 [1 per cell]
Au 0.6460 0.6458 0.1195 [1 per cell]

> Which formula does entry 2 have?

Tb4Mg3In